[1]
The following is a simulated powder diffractogram of BeSbAs2. It was derived from DFT lattice parameters and positions (GGA-PBE), using copper Kα.
Kinematic intensities with the Lorentz-polarization factor, no thermal factor.

Largest 8 diffraction maxima, sorted by position, 2θ = 15–90°:
2θ (°)  Rel. int.
22.78  40.2
37.63  100.0
44.44  20.7
54.27  17.0
59.61  8.5
67.92  34.3
80.34  10.8
84.85  6.3

Cell and atoms:
abc: 4.781 4.781 4.781
angles: 60.00 60.00 60.00
Element x y z (fractional)
Be (0.000, 0.000, 0.000)
Sb (0.500, 0.500, 0.500)
As (0.250, 0.250, 0.250)
As (0.750, 0.750, 0.750)

[2]
The following is a simulated powder diffractogram of Ta3Ir. It was derived from DFT lattice parameters and positions (GGA-PBE), using copper Kα.
Kinematic intensities with the Lorentz-polarization factor, no thermal factor.

Largest 4 diffraction maxima, sorted by position, 2θ = 15–90°:
2θ (°)  Rel. int.
39.27  100.0
56.75  17.3
71.18  35.4
84.45  11.5

Cell and atoms:
abc: 4.588 4.588 4.588
angles: 60.00 60.00 60.00
Element x y z (fractional)
Ta (0.000, 0.000, 0.000)
Ta (0.250, 0.250, 0.250)
Ta (0.750, 0.750, 0.750)
Ir (0.500, 0.500, 0.500)

[3]
The following is a simulated powder diffractogram of GaFe3. It was derived from DFT lattice parameters and positions (GGA-PBE), using copper Kα.
Kinematic intensities with the Lorentz-polarization factor, no thermal factor.

Largest 8 diffraction maxima, sorted by position, 2θ = 15–90°:
2θ (°)  Rel. int.
29.23  2.3
40.33  24.9
43.26  27.2
46.02  100.0
60.62  13.7
73.33  14.6
81.33  16.6
89.13  17.3

Cell and atoms:
abc: 5.164 5.164 4.183
angles: 90.00 90.00 120.00
Element x y z (fractional)
Ga (0.333, 0.667, 0.250)
Ga (0.667, 0.333, 0.750)
Fe (0.159, 0.319, 0.750)
Fe (0.159, 0.841, 0.750)
Fe (0.319, 0.159, 0.250)
Fe (0.681, 0.841, 0.750)
Fe (0.841, 0.159, 0.250)
Fe (0.841, 0.681, 0.250)

[4]
The following is a simulated powder diffractogram of TiCuGe. It was derived from DFT lattice parameters and positions (GGA-PBE), using copper Kα.
Kinematic intensities with the Lorentz-polarization factor, no thermal factor.

Largest 8 diffraction maxima, sorted by position, 2θ = 15–90°:
2θ (°)  Rel. int.
36.90  56.7
37.06  28.3
39.11  100.0
44.00  59.9
44.91  26.0
46.42  37.9
47.81  49.4
50.06  26.3

Cell and atoms:
abc: 6.298 3.805 7.340
angles: 90.00 90.00 90.00
Element x y z (fractional)
Ti (0.025, 0.250, 0.181)
Ti (0.475, 0.750, 0.681)
Ti (0.525, 0.250, 0.319)
Ti (0.975, 0.750, 0.819)
Cu (0.149, 0.250, 0.563)
Cu (0.351, 0.750, 0.063)
Cu (0.649, 0.250, 0.937)
Cu (0.851, 0.750, 0.437)
Ge (0.239, 0.750, 0.377)
Ge (0.261, 0.250, 0.877)
Ge (0.739, 0.750, 0.123)
Ge (0.761, 0.250, 0.623)